Record 1
The following is a calculated X-ray powder pattern of Sr3NdTaAl3O12. It was derived from a GGA-PBE-relaxed structure, using Cu Ka.
No peak broadening, texture or thermal motion is included.

Structural model:
a b c (Å): 5.476 9.510 9.514
angles (deg): 70.60 89.94 89.91
Sites, in units of the cell vectors:
Sr (0.000, 0.000, 0.000)
Sr (0.001, 0.512, 0.473)
Sr (0.003, 0.259, 0.256)
Sr (0.004, 0.782, 0.745)
Sr (0.500, 0.774, 0.233)
Sr (0.503, 0.024, 0.485)
Nd (0.502, 0.237, 0.733)
Nd (0.502, 0.526, 0.016)
Ta (0.002, 0.381, 0.874)
Ta (0.500, 0.645, 0.608)
Al (0.001, 0.644, 0.119)
Al (0.003, 0.135, 0.616)
Al (0.004, 0.895, 0.364)
Al (0.502, 0.387, 0.367)
Al (0.502, 0.888, 0.872)
Al (0.506, 0.138, 0.122)
O (0.003, 0.021, 0.487)
O (0.003, 0.761, 0.248)
O (0.006, 0.244, 0.756)
O (0.213, 0.519, 0.717)
O (0.243, 0.022, 0.233)
O (0.251, 0.509, 0.233)
O (0.257, 0.011, 0.741)
O (0.259, 0.761, 0.998)
O (0.260, 0.267, 0.505)
O (0.263, 0.782, 0.485)
O (0.292, 0.286, 0.985)
O (0.502, 0.028, 0.982)
O (0.502, 0.262, 0.247)
O (0.503, 0.523, 0.476)
O (0.503, 0.746, 0.761)
O (0.706, 0.481, 0.751)
O (0.742, 0.006, 0.248)
O (0.743, 0.014, 0.739)
O (0.747, 0.511, 0.231)
O (0.748, 0.765, 0.996)
O (0.750, 0.269, 0.503)
O (0.771, 0.256, 0.014)
O (0.776, 0.761, 0.504)
O (0.998, 0.529, 0.980)

Top 10 peaks for 10° ≤ 2θ ≤ 90°, in order of rising 2θ:
2θ (°), I/Imax
25.0, 22
25.7, 17
32.6, 100
32.7, 22
40.2, 10
46.8, 42
58.2, 25
58.3, 19
68.3, 11
77.8, 10

=====

Record 2
The following is a calculated X-ray powder pattern of Sr3NdTaAl3O12. It was derived from a GGA-PBE-relaxed structure, using Cu Ka.
No peak broadening, texture or thermal motion is included.

Structural model:
a b c (Å): 9.515 9.515 5.459
angles (deg): 90.17 90.17 70.60
Sites, in units of the cell vectors:
Sr (0.000, 0.000, 0.000)
Sr (0.003, 0.474, 0.499)
Sr (0.263, 0.235, 0.000)
Sr (0.526, 0.997, 0.501)
Sr (0.765, 0.737, 0.000)
Sr (0.768, 0.232, 0.500)
Nd (0.268, 0.732, 0.500)
Nd (0.534, 0.466, 0.000)
Ta (0.136, 0.604, 0.001)
Ta (0.396, 0.864, 0.999)
Al (0.134, 0.113, 0.502)
Al (0.393, 0.355, 0.502)
Al (0.643, 0.114, 0.000)
Al (0.645, 0.607, 0.498)
Al (0.886, 0.357, 0.000)
Al (0.887, 0.866, 0.498)
O (0.006, 0.994, 0.500)
O (0.013, 0.242, 0.746)
O (0.020, 0.752, 0.240)
O (0.022, 0.234, 0.241)
O (0.037, 0.737, 0.726)
O (0.248, 0.980, 0.760)
O (0.250, 0.488, 0.279)
O (0.263, 0.963, 0.274)
O (0.271, 0.468, 0.765)
O (0.275, 0.221, 0.499)
O (0.294, 0.706, 0.000)
O (0.491, 0.509, 0.500)
O (0.507, 0.002, 0.003)
O (0.512, 0.750, 0.721)
O (0.515, 0.254, 0.237)
O (0.526, 0.242, 0.745)
O (0.532, 0.729, 0.235)
O (0.746, 0.485, 0.763)
O (0.758, 0.474, 0.255)
O (0.758, 0.987, 0.254)
O (0.766, 0.978, 0.759)
O (0.767, 0.233, 0.000)
O (0.779, 0.725, 0.501)
O (0.998, 0.493, 0.997)

Top 10 peaks for 10° ≤ 2θ ≤ 90°, in order of rising 2θ:
2θ (°), I/Imax
25.0, 22
32.6, 100
32.7, 67
32.8, 34
46.8, 23
46.9, 47
58.2, 45
58.4, 20
68.3, 19
68.5, 13

=====

Record 3
The following is a calculated X-ray powder pattern of NdAlPd. It was derived from a GGA-PBE-relaxed structure, using Cu Ka.
No peak broadening, texture or thermal motion is included.

Structural model:
a b c (Å): 7.250 7.250 4.255
angles (deg): 90.00 90.00 120.00
Sites, in units of the cell vectors:
Nd (0.000, 0.419, 0.000)
Nd (0.419, 0.000, 0.000)
Nd (0.581, 0.581, 0.000)
Al (0.000, 0.771, 0.500)
Al (0.229, 0.229, 0.500)
Al (0.771, 0.000, 0.500)
Pd (0.000, 0.000, 0.000)
Pd (0.333, 0.667, 0.500)
Pd (0.667, 0.333, 0.500)

Top 10 peaks for 10° ≤ 2θ ≤ 90°, in order of rising 2θ:
2θ (°), I/Imax
24.6, 29
28.4, 23
32.4, 73
35.5, 100
37.9, 21
42.5, 24
43.2, 21
43.7, 22
57.2, 23
68.8, 19

=====

Record 4
The following is a calculated X-ray powder pattern of NdAl3Pd2. It was derived from a GGA-PBE-relaxed structure, using Cu Ka.
No peak broadening, texture or thermal motion is included.

Structural model:
a b c (Å): 5.494 5.494 4.229
angles (deg): 90.00 90.00 120.00
Sites, in units of the cell vectors:
Nd (0.000, 0.000, 0.000)
Al (0.000, 0.500, 0.500)
Al (0.500, 0.000, 0.500)
Al (0.500, 0.500, 0.500)
Pd (0.333, 0.667, 0.000)
Pd (0.667, 0.333, 0.000)

Top 10 peaks for 10° ≤ 2θ ≤ 90°, in order of rising 2θ:
2θ (°), I/Imax
21.0, 43
32.6, 61
39.1, 100
42.8, 17
54.8, 28
58.2, 11
62.6, 25
68.3, 12
75.9, 14
84.0, 14

=====

Record 5
The following is a calculated X-ray powder pattern of NdAlPd2. It was derived from a GGA-PBE-relaxed structure, using Cu Ka.
No peak broadening, texture or thermal motion is included.

Structural model:
a b c (Å): 7.571 7.093 5.894
angles (deg): 90.00 90.00 90.00
Sites, in units of the cell vectors:
Nd (0.033, 0.250, 0.153)
Nd (0.467, 0.750, 0.653)
Nd (0.533, 0.250, 0.347)
Nd (0.967, 0.750, 0.847)
Al (0.118, 0.750, 0.346)
Al (0.382, 0.250, 0.846)
Al (0.618, 0.750, 0.154)
Al (0.882, 0.250, 0.654)
Pd (0.177, 0.053, 0.588)
Pd (0.177, 0.447, 0.588)
Pd (0.323, 0.553, 0.088)
Pd (0.323, 0.947, 0.088)
Pd (0.677, 0.053, 0.912)
Pd (0.677, 0.447, 0.912)
Pd (0.823, 0.553, 0.412)
Pd (0.823, 0.947, 0.412)

Top 10 peaks for 10° ≤ 2θ ≤ 90°, in order of rising 2θ:
2θ (°), I/Imax
30.8, 74
31.7, 73
32.6, 64
34.7, 91
35.0, 100
38.0, 49
38.8, 91
41.1, 37
42.9, 48
62.4, 39

=====

Record 6
The following is a calculated X-ray powder pattern of PrNdAl4. It was derived from a GGA-PBE-relaxed structure, using Cu Ka.
No peak broadening, texture or thermal motion is included.

Structural model:
a b c (Å): 5.712 5.712 5.712
angles (deg): 60.00 60.00 60.00
Sites, in units of the cell vectors:
Pr (0.000, 0.000, 0.000)
Nd (0.750, 0.750, 0.750)
Al (0.375, 0.375, 0.375)
Al (0.375, 0.375, 0.875)
Al (0.375, 0.875, 0.375)
Al (0.875, 0.375, 0.375)

Top 10 peaks for 10° ≤ 2θ ≤ 90°, in order of rising 2θ:
2θ (°), I/Imax
19.0, 57
31.3, 97
36.9, 100
49.2, 15
55.8, 38
59.5, 33
65.4, 22
68.8, 11
74.3, 16
77.5, 11

=====

Record 7
The following is a calculated X-ray powder pattern of NdAlPt. It was derived from a GGA-PBE-relaxed structure, using Cu Ka.
No peak broadening, texture or thermal motion is included.

Structural model:
a b c (Å): 7.170 4.503 7.881
angles (deg): 90.00 90.00 90.00
Sites, in units of the cell vectors:
Nd (0.029, 0.250, 0.182)
Nd (0.471, 0.750, 0.682)
Nd (0.529, 0.250, 0.318)
Nd (0.971, 0.750, 0.818)
Al (0.146, 0.250, 0.567)
Al (0.354, 0.750, 0.067)
Al (0.646, 0.250, 0.933)
Al (0.854, 0.750, 0.433)
Pt (0.218, 0.750, 0.389)
Pt (0.282, 0.250, 0.889)
Pt (0.718, 0.750, 0.111)
Pt (0.782, 0.250, 0.611)

Top 10 peaks for 10° ≤ 2θ ≤ 90°, in order of rising 2θ:
2θ (°), I/Imax
25.8, 39
26.0, 62
32.7, 48
33.9, 100
39.7, 31
40.0, 37
41.8, 16
44.4, 28
55.2, 17
61.3, 15

=====

Record 8
The following is a calculated X-ray powder pattern of NdAlRh. It was derived from a GGA-PBE-relaxed structure, using Cu Ka.
No peak broadening, texture or thermal motion is included.

Structural model:
a b c (Å): 7.089 4.296 8.093
angles (deg): 90.00 90.00 90.00
Sites, in units of the cell vectors:
Nd (0.034, 0.250, 0.180)
Nd (0.466, 0.750, 0.680)
Nd (0.534, 0.250, 0.320)
Nd (0.966, 0.750, 0.820)
Al (0.136, 0.250, 0.562)
Al (0.364, 0.750, 0.062)
Al (0.636, 0.250, 0.938)
Al (0.864, 0.750, 0.438)
Rh (0.227, 0.750, 0.383)
Rh (0.273, 0.250, 0.883)
Rh (0.727, 0.750, 0.117)
Rh (0.773, 0.250, 0.617)

Top 10 peaks for 10° ≤ 2θ ≤ 90°, in order of rising 2θ:
2θ (°), I/Imax
26.6, 29
32.9, 59
34.6, 100
35.6, 24
39.4, 21
41.5, 17
42.1, 32
44.4, 21
51.6, 18
62.8, 17